1.
For InCuRhAu, a crystal structure in Alexandria, relaxed with PBE gives the computed XRD peak list in this record (CuKα).

The 10 most intense peaks (5° ≤ 2θ ≤ 70°), by angle:
h k l, two_theta, I (rel.)
0 1 0, 22.63, 7.8
1 0 0, 22.97, 5.4
1 0 1, 31.22, 7.3
1 1 1, 38.90, 100.0
0 0 2, 42.44, 19.5
0 2 0, 46.21, 15.2
2 0 0, 46.93, 14.5
0 2 2, 64.53, 11.0
2 0 2, 65.11, 10.7
2 2 0, 67.98, 9.4

Structural model:
a = 3.872 Å, b = 3.929 Å, c = 4.260 Å
α = 90.00°, β = 90.00°, γ = 90.00°
Sites, in units of the cell vectors:
In 0.000 0.000 0.000
Cu 0.000 0.500 0.500
Rh 0.500 0.500 0.000
Au 0.500 0.000 0.500

---

2.
For Ba4Y2Cu5PdO14, a crystal structure in Alexandria, relaxed with PBE gives the computed XRD peak list in this record (CuKα).

The 10 most intense peaks (5° ≤ 2θ ≤ 70°), by angle:
h k l, two_theta, I (rel.)
0 1 6, 31.92, 90.2
1 0 6, 32.37, 100.0
1 1 0, 32.59, 95.2
1 1 6, 39.83, 17.2
0 0 12, 45.44, 17.0
0 2 0, 46.09, 29.8
2 0 0, 47.42, 27.3
1 1 12, 57.03, 32.9
1 2 6, 57.45, 37.6
2 1 6, 58.30, 32.4

Structural model:
a = 3.835 Å, b = 3.939 Å, c = 23.951 Å
α = 90.00°, β = 90.00°, γ = 90.00°
Sites, in units of the cell vectors:
Ba 0.000 0.000 0.089
Ba 0.000 0.000 0.405
Ba 0.000 0.000 0.595
Ba 0.000 0.000 0.911
Y 0.000 0.000 0.247
Y 0.000 0.000 0.753
Cu 0.500 0.500 0.000
Cu 0.500 0.500 0.175
Cu 0.500 0.500 0.320
Cu 0.500 0.500 0.680
Cu 0.500 0.500 0.825
Pd 0.500 0.500 0.500
O 0.000 0.500 0.188
O 0.000 0.500 0.307
O 0.000 0.500 0.693
O 0.000 0.500 0.812
O 0.500 0.000 0.000
O 0.500 0.000 0.187
O 0.500 0.000 0.308
O 0.500 0.000 0.500
O 0.500 0.000 0.692
O 0.500 0.000 0.813
O 0.500 0.500 0.078
O 0.500 0.500 0.415
O 0.500 0.500 0.585
O 0.500 0.500 0.922